1.
Starting from DFT lattice parameters and positions (PBE), the X-ray diffraction stick pattern of BaCaZr2O6 was simulated for CuKα.

Principal peaks in the range 2θ from 10° to 80°, in order of rising 2θ:
- 15.05 deg, I 33, (1 1 0)
- 29.99 deg, I 92, (0 2 1)
- 30.22 deg, I 88, (2 0 1)
- 30.36 deg, I 100, (2 2 0)
- 42.71 deg, I 34, (0 0 2)
- 43.15 deg, I 31, (0 4 0)
- 43.80 deg, I 28, (4 0 0)
- 53.30 deg, I 40, (2 2 2)
- 53.58 deg, I 39, (2 4 1)
- 54.00 deg, I 41, (4 2 1)

Atomic structure:
```
data_BaCaZr2O6
_symmetry_space_group_name_H-M 'C m m m'
_symmetry_Int_Tables_number 65
_symmetry_space_group_name_Hall '-C 2 2'
_cell_length_a 8.2672
_cell_length_b 8.3862
_cell_length_c 4.2337
_cell_angle_alpha 90.00
_cell_angle_beta 90.00
_cell_angle_gamma 90.00
loop_
_atom_site_label
_atom_site_type_symbol
_atom_site_fract_x
_atom_site_fract_y
_atom_site_fract_z
_atom_site_occupancy
Ba1 Ba 0.0000 0.0000 0.0000 1
Ca1 Ca 0.0000 0.5000 0.0000 1
Zr1 Zr 0.2500 0.2500 0.5000 1
O1 O 0.0000 0.2047 0.5000 1
O2 O 0.1926 0.5000 0.5000 1
O3 O 0.2500 0.2500 0.0000 1
```

***

2.
Starting from DFT lattice parameters and positions (PBE), the X-ray diffraction stick pattern of NaCeS2 was simulated for CuKα.

Principal peaks in the range 2θ from 10° to 80°, in order of rising 2θ:
- 17.20 deg, I 100, (1 0 1)
- 26.64 deg, I 44, (1 1 2)
- 27.31 deg, I 21, (1 0 3)
- 29.95 deg, I 47, (0 0 4)
- 31.30 deg, I 85, (2 0 0)
- 35.93 deg, I 32, (2 1 1)
- 40.97 deg, I 15, (1 0 5)
- 43.86 deg, I 62, (2 0 4)
- 44.85 deg, I 30, (2 2 0)
- 54.87 deg, I 31, (2 2 4)

Atomic structure:
```
data_NaCeS2
_symmetry_space_group_name_H-M 'I 41/a m d'
_symmetry_Int_Tables_number 141
_cell_length_a 5.7161
_cell_length_b 5.7161
_cell_length_c 11.9356
_cell_angle_alpha 90.00
_cell_angle_beta 90.00
_cell_angle_gamma 90.00
loop_
_symmetry_equiv_pos_as_xyz
'x,y,z'
'-x,-y,-z'
'-y+1/4,x+3/4,z+1/4'
'y+1/4,-x+3/4,-z+1/4'
'-x+1/2,-y,z+1/2'
'x+1/2,y,-z+1/2'
'y+1/4,-x+1/4,z+3/4'
'-y+1/4,x+1/4,-z+3/4'
'x,-y,-z'
'-x,y,z'
'-y+1/4,-x+1/4,-z+3/4'
'y+1/4,x+1/4,z+3/4'
'-x+1/2,y,-z+1/2'
'x+1/2,-y,z+1/2'
'y+1/4,x+3/4,-z+1/4'
'-y+1/4,-x+3/4,z+1/4'
'x+1/2,y+1/2,z+1/2'
'-x+1/2,-y+1/2,-z+1/2'
'-y+3/4,x+1/4,z+3/4'
'y+3/4,-x+1/4,-z+3/4'
'-x,-y+1/2,z'
'x,y+1/2,-z'
'y+3/4,-x+3/4,z+1/4'
'-y+3/4,x+3/4,-z+1/4'
'x+1/2,-y+1/2,-z+1/2'
'-x+1/2,y+1/2,z+1/2'
'-y+3/4,-x+3/4,-z+1/4'
'y+3/4,x+3/4,z+1/4'
'-x,y+1/2,-z'
'x,-y+1/2,z'
'y+3/4,x+1/4,-z+3/4'
'-y+3/4,-x+1/4,z+3/4'
loop_
_atom_site_label
_atom_site_type_symbol
_atom_site_fract_x
_atom_site_fract_y
_atom_site_fract_z
_atom_site_occupancy
Na1 Na 0.0000 0.2500 0.3750 1
Ce1 Ce 0.0000 0.2500 0.8750 1
S1 S 0.0000 0.2500 0.1114 1
```

***

3.
Starting from DFT lattice parameters and positions (PBE), the X-ray diffraction stick pattern of Na2UTeO7 was simulated for CuKα.

Principal peaks in the range 2θ from 10° to 80°, in order of rising 2θ:
- 14.27 deg, I 31, (0 1 1)
- 18.42 deg, I 100, (1 1 1)
- 28.76 deg, I 60, (0 2 2)
- 28.92 deg, I 59, (2 2 0)
- 30.40 deg, I 23, (1 3 1)
- 33.06 deg, I 26, (2 0 2)
- 38.23 deg, I 15, (3 1 1)
- 48.26 deg, I 34, (2 4 2)
- 56.34 deg, I 17, (2 2 4)
- 56.62 deg, I 19, (4 2 2)

Atomic structure:
```
data_Na2UTeO7
_symmetry_space_group_name_H-M 'A m a 2'
_symmetry_Int_Tables_number 40
_cell_length_a 7.6329
_cell_length_b 10.5015
_cell_length_c 7.6970
_cell_angle_alpha 90.00
_cell_angle_beta 90.00
_cell_angle_gamma 90.00
loop_
_symmetry_equiv_pos_as_xyz
'x,y,z'
'-x,-y,z'
'-x+1/2,y,z'
'x+1/2,-y,z'
'x,y+1/2,z+1/2'
'-x,-y+1/2,z+1/2'
'-x+1/2,y+1/2,z+1/2'
'x+1/2,-y+1/2,z+1/2'
loop_
_atom_site_label
_atom_site_type_symbol
_atom_site_fract_x
_atom_site_fract_y
_atom_site_fract_z
_atom_site_occupancy
Na1 Na 0.0000 0.0000 0.0000 1
Na2 Na 0.2500 0.2320 0.7420 1
U1 U 0.2500 0.2367 0.2536 1
Te1 Te 0.0000 0.0000 0.4859 1
O1 O 0.0137 0.3700 0.8103 1
O2 O 0.0490 0.3781 0.1668 1
O3 O 0.2500 0.0541 0.4770 1
O4 O 0.2500 0.1464 0.0417 1
O5 O 0.2500 0.3270 0.4633 1
```

***

4.
Starting from DFT lattice parameters and positions (PBE), the X-ray diffraction stick pattern of BaPdI4O12 was simulated for CuKα.

Principal peaks in the range 2θ from 10° to 80°, in order of rising 2θ:
- 16.16 deg, I 19, (1 -1 0)
- 25.05 deg, I 47, (1 -2 0)
- 25.40 deg, I 100, (1 1 0)
- 27.43 deg, I 47, (1 -1 2)
- 29.51 deg, I 35, (0 2 -2)
- 29.83 deg, I 25, (-1 2 1)
- 30.46 deg, I 31, (0 1 2)
- 31.10 deg, I 20, (-2 1 1)
- 41.32 deg, I 27, (0 3 0)
- 44.47 deg, I 19, (0 1 -4)

Atomic structure:
```
data_BaPdI4O12
_symmetry_space_group_name_H-M 'P 1'
_symmetry_Int_Tables_number 1
_cell_length_a 6.0196
_cell_length_b 7.5158
_cell_length_c 8.1809
_cell_angle_alpha 105.45
_cell_angle_beta 94.58
_cell_angle_gamma 112.85
loop_
_symmetry_equiv_pos_as_xyz
'x,y,z'
loop_
_atom_site_label
_atom_site_type_symbol
_atom_site_fract_x
_atom_site_fract_y
_atom_site_fract_z
_atom_site_occupancy
Ba1 Ba 0.0000 0.0000 0.0000 1
Pd1 Pd 0.2305 0.9978 0.4717 1
I1 I 0.3053 0.6409 0.1704 1
I2 I 0.3069 0.6982 0.6891 1
I3 I 0.6098 0.3443 0.8469 1
I4 I 0.6866 0.3033 0.3388 1
O1 O 0.0328 0.3949 0.0909 1
O2 O 0.0912 0.7852 0.5903 1
O3 O 0.1173 0.7899 0.2324 1
O4 O 0.1751 0.7065 0.8848 1
O5 O 0.2970 0.2107 0.7024 1
O6 O 0.3500 0.2092 0.3485 1
O7 O 0.4243 0.6459 0.3839 1
O8 O 0.4811 0.3069 0.0385 1
O9 O 0.5841 0.9393 0.7722 1
O10 O 0.6319 0.6009 0.8780 1
O11 O 0.6952 0.0624 0.2249 1
O12 O 0.8165 0.3421 0.5618 1
```

***

5.
Starting from DFT lattice parameters and positions (PBE), the X-ray diffraction stick pattern of CsLi3Cl4 was simulated for CuKα.

Principal peaks in the range 2θ from 10° to 80°, in order of rising 2θ:
- 18.39 deg, I 17, (0 2 1)
- 25.76 deg, I 14, (1 1 1)
- 28.83 deg, I 29, (0 10 0)
- 29.44 deg, I 100, (1 5 1)
- 35.35 deg, I 18, (0 0 2)
- 37.64 deg, I 15, (2 0 0)
- 46.24 deg, I 15, (0 10 2)
- 48.09 deg, I 13, (2 10 0)
- 51.46 deg, I 20, (1 15 1)
- 61.08 deg, I 14, (2 10 2)

Atomic structure:
```
data_CsLi3Cl4
_symmetry_space_group_name_H-M 'C m c m'
_symmetry_Int_Tables_number 63
_symmetry_space_group_name_Hall '-C 2c 2'
_cell_length_a 4.7794
_cell_length_b 30.9728
_cell_length_c 5.0776
_cell_angle_alpha 90.00
_cell_angle_beta 90.00
_cell_angle_gamma 90.00
loop_
_atom_site_label
_atom_site_type_symbol
_atom_site_fract_x
_atom_site_fract_y
_atom_site_fract_z
_atom_site_occupancy
Cs1 Cs 0.0000 0.1516 0.2500 1
Li1 Li 0.0000 0.0308 0.2500 1
Li2 Li 0.0000 0.2745 0.2500 1
Li3 Li 0.0000 0.4323 0.2500 1
Cl1 Cl 0.0000 0.0463 0.7500 1
Cl2 Cl 0.0000 0.2519 0.7500 1
Cl3 Cl 0.0000 0.3520 0.2500 1
Cl4 Cl 0.0000 0.4454 0.7500 1
```